[1]
For Tm7Ag2Au2, a structure optimized by DFT (PBE) gives the calculated X-ray diffraction stick pattern in this record (a wavelength of 1.5418 Å).
No peak broadening, texture or thermal motion is included.

Main lines, in order of falling intensity (2θ = 10–80°):
2θ (°)  d/Å  Rel. int.
37.8  2.382  100
33.4  2.685  54
26.2  3.404  49
36.9  2.435  47
28.1  3.172  32
28.6  3.123  29

Cell: 6.602 6.602 7.366 Å, 90.00 90.00 108.89°
Sites, in units of the cell vectors:
Tm  0.000  0.000  0.000
Tm  0.000  0.500  0.275
Tm  0.000  0.500  0.725
Tm  0.500  0.000  0.275
Tm  0.500  0.000  0.725
Tm  0.500  0.500  0.261
Tm  0.500  0.500  0.739
Ag  0.182  0.182  0.500
Ag  0.818  0.818  0.500
Au  0.290  0.710  0.000
Au  0.710  0.290  0.000

[2]
For Tm3AgAu2, a structure optimized by DFT (PBE) gives the calculated X-ray diffraction stick pattern in this record (a wavelength of 1.5418 Å).
No peak broadening, texture or thermal motion is included.

Main lines, in order of falling intensity (2θ = 10–80°):
2θ (°)  d/Å  Rel. int.
35.6  2.523  100
35.8  2.507  49
64.2  1.450  36
63.7  1.460  18
51.6  1.773  17
75.3  1.262  11

Cell: 3.545 3.545 10.778 Å, 90.00 90.00 90.00°
Sites, in units of the cell vectors:
Tm  0.000  0.000  0.000
Tm  0.000  0.000  0.329
Tm  0.000  0.000  0.671
Ag  0.500  0.500  0.500
Au  0.500  0.500  0.168
Au  0.500  0.500  0.832

[3]
For YTmAgAu, a structure optimized by DFT (PBE) gives the calculated X-ray diffraction stick pattern in this record (a wavelength of 1.5418 Å).
No peak broadening, texture or thermal motion is included.

Main lines, in order of falling intensity (2θ = 10–80°):
2θ (°)  d/Å  Rel. int.
35.2  2.549  100
35.5  2.530  50
63.5  1.464  36
63.0  1.475  18
51.1  1.789  17
12.2  7.266  16

Cell: 3.577 3.577 7.266 Å, 90.00 90.00 90.00°
Sites, in units of the cell vectors:
Y  0.000  0.000  0.000
Tm  0.000  0.000  0.510
Ag  0.500  0.500  0.265
Au  0.500  0.500  0.743

[4]
For AgWAu4, a structure optimized by DFT (PBE) gives the calculated X-ray diffraction stick pattern in this record (a wavelength of 1.5418 Å).
No peak broadening, texture or thermal motion is included.

Main lines, in order of falling intensity (2θ = 10–80°):
2θ (°)  d/Å  Rel. int.
38.8  2.319  100
40.6  2.220  51
62.8  1.480  33
69.1  1.360  30
32.9  2.719  18
20.0  4.441  17

Cell: 5.439 5.439 5.439 Å, 60.00 60.00 60.00°
Sites, in units of the cell vectors:
Ag  0.000  0.000  0.000
W  0.250  0.250  0.250
Au  0.125  0.625  0.625
Au  0.625  0.125  0.625
Au  0.625  0.625  0.125
Au  0.625  0.625  0.625

[5]
For YAgAu3, a structure optimized by DFT (PBE) gives the calculated X-ray diffraction stick pattern in this record (a wavelength of 1.5418 Å).
No peak broadening, texture or thermal motion is included.

Main lines, in order of falling intensity (2θ = 10–80°):
2θ (°)  d/Å  Rel. int.
38.9  2.315  100
38.7  2.326  60
35.5  2.528  46
34.4  2.605  30
73.0  1.296  21
66.0  1.415  21

Cell: 5.212 5.057 7.962 Å, 90.00 108.67 90.00°
Sites, in units of the cell vectors:
Y  0.076  0.250  0.301
Y  0.924  0.750  0.699
Ag  0.299  0.250  0.715
Ag  0.701  0.750  0.285
Au  0.119  0.750  0.101
Au  0.319  0.750  0.500
Au  0.474  0.250  0.098
Au  0.526  0.750  0.902
Au  0.681  0.250  0.500
Au  0.881  0.250  0.899

[6]
For Y2AgAu3, a structure optimized by DFT (PBE) gives the calculated X-ray diffraction stick pattern in this record (a wavelength of 1.5418 Å).
No peak broadening, texture or thermal motion is included.

Main lines, in order of falling intensity (2θ = 10–80°):
2θ (°)  d/Å  Rel. int.
38.2  2.355  100
34.1  2.629  97
37.7  2.388  52
34.3  2.614  51
26.1  3.417  47
46.9  1.939  40

Cell: 9.420 8.809 5.873 Å, 76.96 65.65 37.40°
Sites, in units of the cell vectors:
Y  0.249  0.751  0.751
Y  0.250  0.250  0.250
Y  0.750  0.750  0.750
Y  0.751  0.249  0.249
Ag  0.333  0.333  0.667
Ag  0.667  0.667  0.333
Au  0.166  0.166  0.834
Au  0.168  0.663  0.337
Au  0.337  0.832  0.168
Au  0.663  0.168  0.832
Au  0.832  0.337  0.663
Au  0.834  0.834  0.166